Entry 1:
Starting from a GGA-PBE-relaxed structure, the X-ray powder pattern of TbCu4Ag was computed for Cu Kα.
Lines closer than 0.1° are merged.

Structure:
Cell lengths 5.0560, 5.0560, 5.0560 Å; angles 60.00, 60.00, 60.00 degrees
Element x y z (fractional)
Tb1 0.0000 0.0000 0.0000
Cu1 0.3763 0.3763 0.3763
Cu2 0.3763 0.3763 0.8712
Cu3 0.3763 0.8712 0.3763
Cu4 0.8712 0.3763 0.3763
Ag1 0.7500 0.7500 0.7500

Peak list (10 most intense, 2θ from 10° to 90°, sorted by position)
2theta  I (rel.)
21.5  6
24.9  2
35.5  53
41.9  100
43.9  21
63.8  19
68.1  30
75.2  22
86.0  8
90.0  11

Entry 2:
Starting from a GGA-PBE-relaxed structure, the X-ray powder pattern of KAgC2 was computed for Cu Kα.
Lines closer than 0.1° are merged.

Structure:
Cell lengths 4.3367, 4.3367, 5.3435 Å; angles 90.00, 90.00, 90.00 degrees
Element x y z (fractional)
K1 0.0000 0.0000 0.0000
Ag1 0.5000 0.5000 0.5000
C1 0.5000 0.5000 0.1169
C2 0.5000 0.5000 0.8831

Peak list (10 most intense, 2θ from 10° to 90°, sorted by position)
2theta  I (rel.)
20.5  46
26.5  100
29.1  65
33.5  17
41.7  23
45.0  29
50.0  34
54.5  16
55.8  16
72.0  14

Entry 3:
Starting from a GGA-PBE-relaxed structure, the X-ray powder pattern of Cs3GaCl6 was computed for Cu Kα.
Lines closer than 0.1° are merged.

Structure:
Cell lengths 8.0099, 8.0099, 8.0099 Å; angles 60.00, 60.00, 60.00 degrees
Element x y z (fractional)
Cs1 0.0000 0.0000 0.0000
Cs2 0.2500 0.2500 0.2500
Cs3 0.7500 0.7500 0.7500
Ga1 0.5000 0.5000 0.5000
Cl1 0.2879 0.2879 0.7121
Cl2 0.2879 0.7121 0.2879
Cl3 0.2879 0.7121 0.7121
Cl4 0.7121 0.2879 0.2879
Cl5 0.7121 0.2879 0.7121
Cl6 0.7121 0.7121 0.2879

Peak list (10 most intense, 2θ from 10° to 90°, sorted by position)
2theta  I (rel.)
22.2  100
27.3  16
31.6  53
39.0  40
45.3  34
51.0  27
61.2  28
70.5  12
75.0  12
87.9  15

Entry 4:
Starting from a GGA-PBE-relaxed structure, the X-ray powder pattern of ErN was computed for Cu Kα.
Lines closer than 0.1° are merged.

Structure:
Cell lengths 2.9642, 2.9642, 2.9642 Å; angles 90.00, 90.00, 90.00 degrees
Element x y z (fractional)
Er1 0.0000 0.0000 0.0000
N1 0.5000 0.5000 0.5000

Peak list (6 most intense, 2θ from 10° to 90°, sorted by position)
2theta  I (rel.)
30.1  95
43.2  100
53.5  27
62.7  16
71.1  35
79.1  33

Entry 5:
Starting from a GGA-PBE-relaxed structure, the X-ray powder pattern of Ge7PbN10 was computed for Cu Kα.
Lines closer than 0.1° are merged.

Structure:
Cell lengths 7.3233, 7.1296, 10.3435 Å; angles 90.00, 105.58, 90.00 degrees
Element x y z (fractional)
Ge1 0.0000 0.0268 0.0000
Ge2 0.0000 0.9732 0.5000
Ge3 0.1330 0.3701 0.6727
Ge4 0.1330 0.6299 0.1727
Ge5 0.1887 0.0288 0.3086
Ge6 0.1887 0.9712 0.8086
Ge7 0.3125 0.3690 0.9761
Ge8 0.3125 0.6310 0.4761
Ge9 0.4996 0.3724 0.2940
Ge10 0.4996 0.6276 0.7940
Ge11 0.7566 0.3956 0.0606
Ge12 0.7566 0.6044 0.5606
Ge13 0.9436 0.3807 0.3686
Ge14 0.9436 0.6193 0.8686
Pb1 0.5695 0.0498 0.5687
Pb2 0.5695 0.9502 0.0687
N1 0.0988 0.1145 0.6556
N2 0.0988 0.8855 0.1556
N3 0.1376 0.4689 0.5094
N4 0.1376 0.5311 0.0094
N5 0.2205 0.1281 0.9608
N6 0.2205 0.8719 0.4608
N7 0.3507 0.4194 0.8086
N8 0.3507 0.5806 0.3086
N9 0.4157 0.1464 0.3377
N10 0.4157 0.8536 0.8377
N11 0.5317 0.3752 0.1162
N12 0.5317 0.6248 0.6162
N13 0.7260 0.4143 0.4272
N14 0.7260 0.5857 0.9272
N15 0.7903 0.1570 0.0059
N16 0.7903 0.8430 0.5059
N17 0.9310 0.4994 0.7091
N18 0.9310 0.5006 0.2091
N19 0.9696 0.1282 0.3488
N20 0.9696 0.8718 0.8488

Peak list (10 most intense, 2θ from 10° to 90°, sorted by position)
2theta  I (rel.)
17.8  32
22.6  35
25.0  52
27.5  100
28.2  45
28.4  85
29.6  94
34.8  39
37.0  37
37.2  73

Entry 6:
Starting from a GGA-PBE-relaxed structure, the X-ray powder pattern of YNiSn was computed for Cu Kα.
Lines closer than 0.1° are merged.

Structure:
Cell lengths 7.1678, 4.4768, 7.6992 Å; angles 90.00, 90.00, 90.00 degrees
Element x y z (fractional)
Y1 0.0127 0.2500 0.2029
Y2 0.4873 0.7500 0.7029
Y3 0.5127 0.2500 0.2971
Y4 0.9873 0.7500 0.7971
Ni1 0.1990 0.7500 0.4148
Ni2 0.3010 0.2500 0.9148
Ni3 0.6990 0.7500 0.0852
Ni4 0.8010 0.2500 0.5852
Sn1 0.1909 0.2500 0.5870
Sn2 0.3091 0.7500 0.0870
Sn3 0.6909 0.2500 0.9130
Sn4 0.8091 0.7500 0.4130

Peak list (10 most intense, 2θ from 10° to 90°, sorted by position)
2theta  I (rel.)
33.1  36
34.1  100
39.5  26
40.3  35
40.5  53
49.3  9
53.8  15
57.7  17
65.7  19
73.6  13

Entry 7:
Starting from a GGA-PBE-relaxed structure, the X-ray powder pattern of Sr3Ta3N5 was computed for Cu Kα.
Lines closer than 0.1° are merged.

Structure:
Cell lengths 6.2362, 8.2487, 8.3549 Å; angles 109.21, 102.40, 102.84 degrees
Element x y z (fractional)
Sr1 0.1428 0.3490 0.3787
Sr2 0.1788 0.1836 0.7324
Sr3 0.2356 0.9366 0.0916
Sr4 0.7644 0.0634 0.9084
Sr5 0.8212 0.8164 0.2676
Sr6 0.8572 0.6510 0.6213
Ta1 0.2288 0.5189 0.0979
Ta2 0.4007 0.8069 0.4615
Ta3 0.4089 0.6264 0.8145
Ta4 0.5911 0.3736 0.1855
Ta5 0.5993 0.1931 0.5385
Ta6 0.7712 0.4811 0.9021
N1 0.0974 0.5463 0.8614
N2 0.2307 0.2476 0.0717
N3 0.2780 0.0156 0.4326
N4 0.3002 0.7469 0.6520
N5 0.4822 0.4085 0.6624
N6 0.5178 0.5915 0.3376
N7 0.6998 0.2531 0.3480
N8 0.7220 0.9844 0.5674
N9 0.7693 0.7524 0.9283
N10 0.9026 0.4537 0.1386

Peak list (10 most intense, 2θ from 10° to 90°, sorted by position)
2theta  I (rel.)
12.0  65
15.3  34
28.9  47
29.4  42
29.9  39
30.7  97
30.9  100
33.5  43
34.4  93
39.7  39

Entry 8:
Starting from a GGA-PBE-relaxed structure, the X-ray powder pattern of Ba3Tb was computed for Cu Kα.
Lines closer than 0.1° are merged.

Structure:
Cell lengths 8.4115, 8.4115, 6.7686 Å; angles 90.00, 90.00, 120.00 degrees
Element x y z (fractional)
Ba1 0.1719 0.3438 0.2500
Ba2 0.1719 0.8281 0.2500
Ba3 0.3438 0.1719 0.7500
Ba4 0.6562 0.8281 0.2500
Ba5 0.8281 0.1719 0.7500
Ba6 0.8281 0.6562 0.7500
Tb1 0.3333 0.6667 0.7500
Tb2 0.6667 0.3333 0.2500

Peak list (10 most intense, 2θ from 10° to 90°, sorted by position)
2theta  I (rel.)
24.4  23
26.3  26
27.8  100
36.2  17
43.0  20
47.4  23
51.1  24
52.0  17
69.7  14
82.0  9